(1)
For SmHgPb2O4, a cell relaxed with PBE gives the theoretical powder diffraction line list in this record (Cu Kα, 1.54184 Å).
No peak broadening, texture or thermal motion is included.

Principal peaks in the range 5 to 70 degrees two-theta, in order of rising 2θ:
2theta, I_rel, index
28.55, 100.0, 1 0 2
31.10, 33.3, 1 1 0
32.45, 1.1, 1 1 1
36.79, 11.0, 0 0 4
44.56, 17.8, 2 0 0
48.92, 26.9, 1 1 4
53.78, 35.4, 2 1 2
59.11, 11.7, 2 0 4
61.31, 12.0, 1 0 6
64.84, 5.8, 2 2 0

Crystal structure
```
data_SmHgPb2O4
_chemical_formula_sum 'Sm1 Hg1 Pb2 O4'
_space_group_name_H-M_alt 'P 4/m m m'
_space_group_IT_number 123
_space_group_name_Hall '-P 4 2'
_cell_length_a 4.0671
_cell_length_b 4.0671
_cell_length_c 9.7729
_cell_angle_alpha 90.00
_cell_angle_beta 90.00
_cell_angle_gamma 90.00
loop_
_atom_site_label
_atom_site_fract_x
_atom_site_fract_y
_atom_site_fract_z
Sm1 0.0000 0.0000 0.0000
Hg1 0.0000 0.0000 0.5000
Pb1 0.5000 0.5000 0.2492
O1 0.0000 0.5000 0.1397
```

---

(2)
For Cs2CuCl2F4, a cell relaxed with PBE gives the theoretical powder diffraction line list in this record (Cu Kα, 1.54184 Å).
No peak broadening, texture or thermal motion is included.

Principal peaks in the range 5 to 70 degrees two-theta, in order of rising 2θ:
2theta, I_rel, index
17.54, 15.0, 1 1 0
24.91, 78.5, 2 0 0
28.95, 100.0, 1 1 2
34.05, 37.0, 2 0 2
35.51, 49.9, 2 2 0
46.45, 41.7, 3 1 2
51.10, 13.9, 4 0 0
57.66, 19.2, 4 2 0
59.80, 16.0, 3 3 2
63.02, 14.9, 3 1 4

Crystal structure
```
data_Cs2CuCl2F4
_chemical_formula_sum 'Cs4 Cu2 Cl4 F8'
_space_group_name_H-M_alt 'I 4/m m m'
_space_group_IT_number 139
_space_group_name_Hall '-I 4 2'
_cell_length_a 7.1496
_cell_length_b 7.1496
_cell_length_c 7.7847
_cell_angle_alpha 90.00
_cell_angle_beta 90.00
_cell_angle_gamma 90.00
loop_
_atom_site_label
_atom_site_fract_x
_atom_site_fract_y
_atom_site_fract_z
Cs1 0.0000 0.5000 0.2500
Cu1 0.0000 0.0000 0.0000
Cl1 0.0000 0.0000 0.3675
F1 0.1873 0.1873 0.0000
```

---

(3)
For FeMoN2, a cell relaxed with PBE gives the theoretical powder diffraction line list in this record (Cu Kα, 1.54184 Å).
No peak broadening, texture or thermal motion is included.

Principal peaks in the range 5 to 70 degrees two-theta, in order of rising 2θ:
2theta, I_rel, index
22.21, 7.8, 1 0 1
34.92, 100.0, 1 1 2
36.94, 2.9, 1 0 3
39.97, 23.2, 2 0 0
41.67, 10.2, 0 0 4
46.20, 3.1, 2 1 1
55.56, 1.4, 2 1 3
57.81, 13.5, 2 2 0
59.12, 25.3, 2 0 4
69.35, 24.2, 3 1 2

Crystal structure
```
data_FeMoN2
_chemical_formula_sum 'Fe4 Mo4 N8'
_space_group_name_H-M_alt 'I -4 2 d'
_space_group_IT_number 122
_space_group_name_Hall 'I -4 2bw'
_cell_length_a 4.5110
_cell_length_b 4.5110
_cell_length_c 8.6695
_cell_angle_alpha 90.00
_cell_angle_beta 90.00
_cell_angle_gamma 90.00
loop_
_atom_site_label
_atom_site_fract_x
_atom_site_fract_y
_atom_site_fract_z
Fe1 0.0000 0.0000 0.0000
Mo1 0.0000 0.0000 0.5000
N1 0.2259 0.2500 0.1250
```

---

(4)
For K2CaSnSe4, a cell relaxed with PBE gives the theoretical powder diffraction line list in this record (Cu Kα, 1.54184 Å).
No peak broadening, texture or thermal motion is included.

Principal peaks in the range 5 to 70 degrees two-theta, in order of rising 2θ:
2theta, I_rel, index
15.33, 36.8, 1 1 0
16.25, 35.0, 1 0 1
27.27, 98.9, 2 1 1
30.95, 43.2, 2 2 0
32.84, 100.0, 2 0 2
42.83, 24.8, 3 1 2
44.63, 24.5, 2 1 3
47.19, 15.8, 3 3 0
47.53, 30.4, 4 1 1
51.20, 16.5, 4 0 2

Crystal structure
```
data_K2CaSnSe4
_chemical_formula_sum 'K4 Ca2 Sn2 Se8'
_space_group_name_H-M_alt 'I -4 2 m'
_space_group_IT_number 121
_space_group_name_Hall 'I -4 2'
_cell_length_a 8.1716
_cell_length_b 8.1716
_cell_length_c 7.3259
_cell_angle_alpha 90.00
_cell_angle_beta 90.00
_cell_angle_gamma 90.00
loop_
_atom_site_label
_atom_site_fract_x
_atom_site_fract_y
_atom_site_fract_z
K1 0.0000 0.5000 0.0000
Ca1 0.0000 0.0000 0.0000
Sn1 0.0000 0.0000 0.5000
Se1 0.1762 0.1762 0.2834
```

---

(5)
For NbTeH2PdI, a cell relaxed with PBE gives the theoretical powder diffraction line list in this record (Cu Kα, 1.54184 Å).
No peak broadening, texture or thermal motion is included.

Principal peaks in the range 5 to 70 degrees two-theta, in order of rising 2θ:
2theta, I_rel, index
10.41, 100.0, 0 0 1
20.91, 46.4, 0 0 2
26.48, 30.0, 0 1 1
29.42, 31.2, 1 0 -2
32.25, 82.0, 0 1 2
35.03, 79.5, 1 1 0
35.19, 63.5, 1 1 -1
40.24, 53.7, 0 1 3
44.37, 54.4, 1 0 3
45.33, 34.3, 1 0 -4

Crystal structure
```
data_NbTeH2PdI
_chemical_formula_sum 'Nb1 Te1 H2 Pd1 I1'
_space_group_name_H-M_alt 'P 1 m 1'
_space_group_IT_number 6
_cell_length_a 3.6469
_cell_length_b 3.6666
_cell_length_c 8.6519
_cell_angle_alpha 90.00
_cell_angle_beta 100.91
_cell_angle_gamma 90.00
loop_
_space_group_symop_operation_xyz
'x,y,z'
'x,-y,z'
loop_
_atom_site_label
_atom_site_fract_x
_atom_site_fract_y
_atom_site_fract_z
Nb1 0.0000 0.0000 0.0000
Te1 0.1450 0.0000 0.3220
H1 0.2360 0.5000 0.0298
H2 0.4631 0.0000 0.9245
Pd1 0.6053 0.5000 0.1865
I1 0.8530 0.5000 0.7420
```

---

(6)
For Er5Mg2In, a cell relaxed with PBE gives the theoretical powder diffraction line list in this record (Cu Kα, 1.54184 Å).
No peak broadening, texture or thermal motion is included.

Principal peaks in the range 5 to 70 degrees two-theta, in order of rising 2θ:
2theta, I_rel, index
24.87, 35.2, 2 1 1
31.49, 28.2, 1 1 4
31.70, 100.0, 2 1 3
34.03, 64.6, 3 1 0
35.07, 23.6, 2 0 4
49.82, 12.7, 4 1 3
52.20, 13.5, 4 0 4
54.64, 15.7, 3 3 4
54.94, 13.3, 3 1 6
63.92, 19.8, 5 2 3

Crystal structure
```
data_Er5Mg2In
_chemical_formula_sum 'Er20 Mg8 In4'
_space_group_name_H-M_alt 'I 4/m c m'
_space_group_IT_number 140
_space_group_name_Hall '-I 4 2c'
_cell_length_a 8.3303
_cell_length_b 8.3303
_cell_length_c 12.9711
_cell_angle_alpha 90.00
_cell_angle_beta 90.00
_cell_angle_gamma 90.00
loop_
_atom_site_label
_atom_site_fract_x
_atom_site_fract_y
_atom_site_fract_z
Er1 0.0000 0.0000 0.0000
Er2 0.1532 0.3468 0.1588
Mg1 0.1382 0.3618 0.5000
In1 0.0000 0.0000 0.2500
```

---

(7)
For Ac2Mg4Hg3Pb, a cell relaxed with PBE gives the theoretical powder diffraction line list in this record (Cu Kα, 1.54184 Å).
No peak broadening, texture or thermal motion is included.

Principal peaks in the range 5 to 70 degrees two-theta, in order of rising 2θ:
2theta, I_rel, index
24.00, 28.9, 1 0 2
26.73, 56.1, 1 1 1
29.95, 68.1, 1 0 3
30.13, 100.0, 1 1 2
36.38, 67.4, 2 0 0
44.30, 26.0, 1 0 5
47.81, 38.5, 2 1 3
52.40, 24.1, 2 2 0
58.61, 23.0, 2 1 5
61.64, 27.1, 3 1 2

Crystal structure
```
data_Ac2Mg4Hg3Pb
_chemical_formula_sum 'Ac2 Mg4 Hg3 Pb1'
_space_group_name_H-M_alt 'P -4 m 2'
_space_group_IT_number 115
_cell_length_a 4.9386
_cell_length_b 4.9386
_cell_length_c 11.2323
_cell_angle_alpha 90.00
_cell_angle_beta 90.00
_cell_angle_gamma 90.00
loop_
_space_group_symop_operation_xyz
'x,y,z'
'y,-x,-z'
'-x,-y,z'
'-y,x,-z'
'-x,y,z'
'-y,-x,-z'
'x,-y,z'
'y,x,-z'
loop_
_atom_site_label
_atom_site_fract_x
_atom_site_fract_y
_atom_site_fract_z
Ac1 0.0000 0.5000 0.2460
Mg1 0.0000 0.0000 0.5000
Mg2 0.0000 0.5000 0.8654
Mg3 0.5000 0.5000 0.5000
Hg1 0.0000 0.0000 0.0000
Hg2 0.0000 0.5000 0.6263
Pb1 0.5000 0.5000 0.0000
```